(1)
Starting from a structure optimized by DFT (GGA-PBE), the powder XRD pattern of Er4Sc3In was calculated for λ = 1.5418 Å (Cu Kα).
Neutral-atom scattering factors, no anomalous dispersion.

Structural model:
```
data_Er4Sc3In
_chemical_formula_sum 'Er8 Sc6 In2'
_cell_length_a 14.441
_cell_length_b 3.569
_cell_length_c 8.964
_cell_angle_alpha 90.00
_cell_angle_beta 95.93
_cell_angle_gamma 90.00
_symmetry_space_group_name_H-M 'P 1'
_symmetry_Int_Tables_number 1
loop_
_symmetry_equiv_pos_as_xyz
'x,y,z'
loop_
_atom_site_label
_atom_site_type_symbol
_atom_site_fract_x
_atom_site_fract_y
_atom_site_fract_z
Er1 Er 0.135 0.000 0.239
Er2 Er 0.174 0.000 0.867
Er3 Er 0.326 0.500 0.133
Er4 Er 0.365 0.500 0.761
Er5 Er 0.635 0.500 0.239
Er6 Er 0.674 0.500 0.867
Er7 Er 0.826 0.000 0.133
Er8 Er 0.865 0.000 0.761
Sc1 Sc 0.000 0.500 0.000
Sc2 Sc 0.168 0.500 0.552
Sc3 Sc 0.332 0.000 0.448
Sc4 Sc 0.500 0.000 0.000
Sc5 Sc 0.668 0.000 0.552
Sc6 Sc 0.832 0.500 0.448
In1 In 0.000 0.000 0.500
In2 In 0.500 0.500 0.500
```

Peak list (10 most intense, 15 to 90 degrees two-theta, most intense first)
2θ = 33.48°, d = 2.677 Å, I 100; 2θ = 32.32°, d = 2.770 Å, I 72; 2θ = 30.30°, d = 2.949 Å, I 66; 2θ = 25.72°, d = 3.463 Å, I 63; 2θ = 39.46°, d = 2.284 Å, I 56; 2θ = 31.26°, d = 2.861 Å, I 46; 2θ = 36.24°, d = 2.479 Å, I 43; 2θ = 33.81°, d = 2.651 Å, I 43; 2θ = 16.63°, d = 5.330 Å, I 36; 2θ = 37.57°, d = 2.394 Å, I 35

=====

(2)
Starting from a structure optimized by DFT (GGA-PBE), the powder XRD pattern of Sm4GeAs2 was calculated for λ = 1.5418 Å (Cu Kα).
Neutral-atom scattering factors, no anomalous dispersion.

Structural model:
```
data_Sm4GeAs2
_chemical_formula_sum 'Sm8 Ge2 As4'
_cell_length_a 7.761
_cell_length_b 7.761
_cell_length_c 7.761
_cell_angle_alpha 109.51
_cell_angle_beta 109.51
_cell_angle_gamma 109.39
_symmetry_space_group_name_H-M 'P 1'
_symmetry_Int_Tables_number 1
loop_
_symmetry_equiv_pos_as_xyz
'x,y,z'
loop_
_atom_site_label
_atom_site_type_symbol
_atom_site_fract_x
_atom_site_fract_y
_atom_site_fract_z
Sm1 Sm 0.124 0.741 0.748
Sm2 Sm 0.126 0.243 0.752
Sm3 Sm 0.259 0.007 0.383
Sm4 Sm 0.491 0.374 0.248
Sm5 Sm 0.624 0.876 0.617
Sm6 Sm 0.626 0.874 0.117
Sm7 Sm 0.757 0.509 0.883
Sm8 Sm 0.993 0.376 0.252
Ge1 Ge 0.000 0.000 0.000
Ge2 Ge 0.750 0.250 0.500
As1 As 0.251 0.625 0.126
As2 As 0.375 0.501 0.626
As3 As 0.499 0.125 0.874
As4 As 0.875 0.749 0.374
```

Peak list (10 most intense, 15 to 90 degrees two-theta, most intense first)
2θ = 31.57°, d = 2.834 Å, I 100; 2θ = 37.55°, d = 2.395 Å, I 61; 2θ = 52.03°, d = 1.758 Å, I 33; 2θ = 64.05°, d = 1.454 Å, I 22; 2θ = 49.85°, d = 1.829 Å, I 19; 2θ = 28.16°, d = 3.168 Å, I 15; 2θ = 67.76°, d = 1.383 Å, I 14; 2θ = 24.33°, d = 3.659 Å, I 11; 2θ = 78.45°, d = 1.219 Å, I 9; 2θ = 47.59°, d = 1.911 Å, I 8

=====

(3)
Starting from a structure optimized by DFT (GGA-PBE), the powder XRD pattern of Ca7Pt5 was calculated for λ = 1.5418 Å (Cu Kα).
Neutral-atom scattering factors, no anomalous dispersion.

Structural model:
```
data_Ca7Pt5
_chemical_formula_sum 'Ca7 Pt5'
_cell_length_a 5.601
_cell_length_b 9.743
_cell_length_c 5.657
_cell_angle_alpha 90.00
_cell_angle_beta 112.33
_cell_angle_gamma 90.00
_symmetry_space_group_name_H-M 'P 1'
_symmetry_Int_Tables_number 1
loop_
_symmetry_equiv_pos_as_xyz
'x,y,z'
loop_
_atom_site_label
_atom_site_type_symbol
_atom_site_fract_x
_atom_site_fract_y
_atom_site_fract_z
Ca1 Ca 0.000 0.000 0.000
Ca2 Ca 0.000 0.129 0.500
Ca3 Ca 0.000 0.453 0.500
Ca4 Ca 0.000 0.619 0.000
Ca5 Ca 0.500 0.389 0.000
Ca6 Ca 0.500 0.680 0.500
Ca7 Ca 0.500 0.836 0.000
Pt1 Pt 0.000 0.317 0.000
Pt2 Pt 0.000 0.758 0.500
Pt3 Pt 0.500 0.009 0.500
Pt4 Pt 0.500 0.107 0.000
Pt5 Pt 0.500 0.311 0.500
```

Peak list (10 most intense, 15 to 90 degrees two-theta, most intense first)
2θ = 33.59°, d = 2.668 Å, I 100; 2θ = 34.27°, d = 2.616 Å, I 66; 2θ = 34.62°, d = 2.591 Å, I 64; 2θ = 39.98°, d = 2.255 Å, I 58; 2θ = 19.40°, d = 4.575 Å, I 55; 2θ = 38.51°, d = 2.338 Å, I 48; 2θ = 21.08°, d = 4.215 Å, I 33; 2θ = 27.46°, d = 3.248 Å, I 24; 2θ = 56.48°, d = 1.629 Å, I 23; 2θ = 19.25°, d = 4.610 Å, I 22

=====

(4)
Starting from a structure optimized by DFT (GGA-PBE), the powder XRD pattern of LiB2 was calculated for λ = 1.5418 Å (Cu Kα).
Neutral-atom scattering factors, no anomalous dispersion.

Structural model:
```
data_LiB2
_chemical_formula_sum 'Li2 B4'
_cell_length_a 3.182
_cell_length_b 4.607
_cell_length_c 4.608
_cell_angle_alpha 103.87
_cell_angle_beta 103.42
_cell_angle_gamma 103.33
_symmetry_space_group_name_H-M 'P 1'
_symmetry_Int_Tables_number 1
loop_
_symmetry_equiv_pos_as_xyz
'x,y,z'
loop_
_atom_site_label
_atom_site_type_symbol
_atom_site_fract_x
_atom_site_fract_y
_atom_site_fract_z
Li1 Li 0.248 0.189 0.311
Li2 Li 0.752 0.811 0.689
B1 B 0.023 0.361 0.834
B2 B 0.476 0.666 0.138
B3 B 0.524 0.334 0.862
B4 B 0.977 0.639 0.166
```

Peak list (10 most intense, 15 to 90 degrees two-theta, most intense first)
2θ = 20.84°, d = 4.262 Å, I 100; 2θ = 24.54°, d = 3.628 Å, I 83; 2θ = 41.07°, d = 2.198 Å, I 33; 2θ = 53.72°, d = 1.706 Å, I 19; 2θ = 42.42°, d = 2.131 Å, I 13; 2θ = 68.69°, d = 1.366 Å, I 11; 2θ = 50.31°, d = 1.814 Å, I 9; 2θ = 77.93°, d = 1.226 Å, I 9; 2θ = 87.15°, d = 1.118 Å, I 6; 2θ = 42.22°, d = 2.141 Å, I 6

=====

(5)
Starting from a structure optimized by DFT (GGA-PBE), the powder XRD pattern of Er5In4Ni2 was calculated for λ = 1.5418 Å (Cu Kα).
Neutral-atom scattering factors, no anomalous dispersion.

Structural model:
```
data_Er5In4Ni2
_chemical_formula_sum 'Er10 In8 Ni4'
_cell_length_a 7.921
_cell_length_b 17.829
_cell_length_c 3.589
_cell_angle_alpha 90.00
_cell_angle_beta 90.00
_cell_angle_gamma 90.00
_symmetry_space_group_name_H-M 'P 1'
_symmetry_Int_Tables_number 1
loop_
_symmetry_equiv_pos_as_xyz
'x,y,z'
loop_
_atom_site_label
_atom_site_type_symbol
_atom_site_fract_x
_atom_site_fract_y
_atom_site_fract_z
Er1 Er 0.000 0.000 0.000
Er2 Er 0.116 0.412 0.000
Er3 Er 0.249 0.221 0.000
Er4 Er 0.251 0.721 0.000
Er5 Er 0.384 0.912 0.000
Er6 Er 0.500 0.500 0.000
Er7 Er 0.616 0.088 0.000
Er8 Er 0.749 0.279 0.000
Er9 Er 0.751 0.779 0.000
Er10 Er 0.884 0.588 0.000
In1 In 0.072 0.848 0.500
In2 In 0.206 0.569 0.500
In3 In 0.294 0.069 0.500
In4 In 0.428 0.348 0.500
In5 In 0.572 0.652 0.500
In6 In 0.706 0.931 0.500
In7 In 0.794 0.431 0.500
In8 In 0.928 0.152 0.500
Ni1 Ni 0.029 0.304 0.500
Ni2 Ni 0.471 0.804 0.500
Ni3 Ni 0.529 0.196 0.500
Ni4 Ni 0.971 0.696 0.500
```

Peak list (10 most intense, 15 to 90 degrees two-theta, most intense first)
2θ = 34.02°, d = 2.635 Å, I 100; 2θ = 35.22°, d = 2.548 Å, I 88; 2θ = 37.05°, d = 2.426 Å, I 66; 2θ = 35.46°, d = 2.532 Å, I 40; 2θ = 37.31°, d = 2.410 Å, I 33; 2θ = 50.88°, d = 1.795 Å, I 27; 2θ = 37.85°, d = 2.377 Å, I 24; 2θ = 32.17°, d = 2.782 Å, I 23; 2θ = 34.34°, d = 2.612 Å, I 18; 2θ = 31.23°, d = 2.864 Å, I 18

=====

Repeat the second record exactly.
Starting from a structure optimized by DFT (GGA-PBE), the powder XRD pattern of Sm4GeAs2 was calculated for λ = 1.5418 Å (Cu Kα).
Neutral-atom scattering factors, no anomalous dispersion.

Structural model:
```
data_Sm4GeAs2
_chemical_formula_sum 'Sm8 Ge2 As4'
_cell_length_a 7.761
_cell_length_b 7.761
_cell_length_c 7.761
_cell_angle_alpha 109.51
_cell_angle_beta 109.51
_cell_angle_gamma 109.39
_symmetry_space_group_name_H-M 'P 1'
_symmetry_Int_Tables_number 1
loop_
_symmetry_equiv_pos_as_xyz
'x,y,z'
loop_
_atom_site_label
_atom_site_type_symbol
_atom_site_fract_x
_atom_site_fract_y
_atom_site_fract_z
Sm1 Sm 0.124 0.741 0.748
Sm2 Sm 0.126 0.243 0.752
Sm3 Sm 0.259 0.007 0.383
Sm4 Sm 0.491 0.374 0.248
Sm5 Sm 0.624 0.876 0.617
Sm6 Sm 0.626 0.874 0.117
Sm7 Sm 0.757 0.509 0.883
Sm8 Sm 0.993 0.376 0.252
Ge1 Ge 0.000 0.000 0.000
Ge2 Ge 0.750 0.250 0.500
As1 As 0.251 0.625 0.126
As2 As 0.375 0.501 0.626
As3 As 0.499 0.125 0.874
As4 As 0.875 0.749 0.374
```

Peak list (10 most intense, 15 to 90 degrees two-theta, most intense first)
2θ = 31.57°, d = 2.834 Å, I 100; 2θ = 37.55°, d = 2.395 Å, I 61; 2θ = 52.03°, d = 1.758 Å, I 33; 2θ = 64.05°, d = 1.454 Å, I 22; 2θ = 49.85°, d = 1.829 Å, I 19; 2θ = 28.16°, d = 3.168 Å, I 15; 2θ = 67.76°, d = 1.383 Å, I 14; 2θ = 24.33°, d = 3.659 Å, I 11; 2θ = 78.45°, d = 1.219 Å, I 9; 2θ = 47.59°, d = 1.911 Å, I 8